# PaAlCuO5
Theoretical powder diffraction line list, Cu Kα (weighted mean of Kα1 and Kα2). Input: a DFT-relaxed cell (PBE, Alexandria).
Neutral-atom scattering factors, no anomalous dispersion.

Top 6 peaks for 5 to 70 degrees two-theta, by intensity:
d 4.714, I 100.0
d 2.651, I 75.5
d 2.875, I 74.5
d 3.366, I 55.2
d 3.307, I 46.7
d 2.771, I 46.4

Cell and atoms:
Cell: 5.455 5.455 7.286 Å, 102.59 102.59 110.44°
Atoms (fractional coordinates):
Pa  0.187  0.813  0.750
Pa  0.813  0.187  0.250
Al  0.500  0.500  0.000
Al  0.500  0.500  0.500
Cu  0.163  0.837  0.250
Cu  0.837  0.163  0.750
O  0.168  0.181  0.921
O  0.181  0.168  0.421
O  0.225  0.645  0.434
O  0.355  0.775  0.066
O  0.429  0.571  0.750
O  0.571  0.429  0.250
O  0.645  0.225  0.934
O  0.775  0.355  0.566
O  0.819  0.832  0.579
O  0.832  0.819  0.079